Starting from a DFT-relaxed cell (PBE, Alexandria), the PXRD pattern of AcMg2F8 was simulated for Cu Kα X-rays.

Principal peaks in the range 2θ from 10° to 80°, sorted by position:
15.07°, d 5.880, I 13, (0 0 2)
18.25°, d 4.862, I 100, (1 0 1)
28.08°, d 3.177, I 54, (1 1 2)
28.24°, d 3.160, I 33, (1 0 3)
36.98°, d 2.431, I 13, (2 0 2)
38.46°, d 2.340, I 33, (2 1 1)
44.42°, d 2.039, I 22, (2 1 3)
45.91°, d 1.977, I 27, (2 0 4)
54.78°, d 1.676, I 13, (2 1 5)
56.74°, d 1.622, I 20, (3 1 2)

Structural model:
a = 5.340 Å, b = 5.340 Å, c = 11.760 Å
α = 90.00°, β = 90.00°, γ = 90.00°
Space group I422 (No. 97)
Symmetry-distinct sites (fractional):
1 Ac 0.000 0.000 0.000 (multiplicity 2)
2 Mg 0.000 0.500 0.250 (multiplicity 4)
3 F 0.190 0.298 0.860 (multiplicity 16)